No. 1
Diffraction record for Mg4CuO5. The PXRD pattern is computed, not measured: it uses a crystal structure in the Materials Project, relaxed with PBE and Cu Ka.

Atomic structure:
Lattice parameters (Å, degrees): 10.8384 10.8384 10.8384 164.05 164.05 22.63
Positions (direct):
Mg (0.0989, 0.0989, 0.0000)
Mg (0.2997, 0.2997, 0.0000)
Mg (0.7003, 0.7003, 0.0000)
Mg (0.9011, 0.9011, 0.0000)
Cu (0.5000, 0.5000, 0.0000)
O (0.0000, 0.0000, 0.0000)
O (0.1999, 0.1999, 0.0000)
O (0.3992, 0.3992, 0.0000)
O (0.6008, 0.6008, 0.0000)
O (0.8001, 0.8001, 0.0000)

Main lines, in order of rising 2θ (2θ = 5–70°):
2θ = 8.32°, rel. 44.9; 2θ = 16.68°, rel. 10.9; 2θ = 30.00°, rel. 10.4; 2θ = 36.60°, rel. 26.4; 2θ = 42.51°, rel. 100.0; 2θ = 61.69°, rel. 56.7

No. 2
Diffraction record for Eu2TlCd. The PXRD pattern is computed, not measured: it uses a crystal structure in the Materials Project, relaxed with PBE and Cu Ka.

Atomic structure:
Lattice parameters (Å, degrees): 5.6162 5.6162 5.6162 60.00 60.00 60.00
Positions (direct):
Eu (0.2500, 0.2500, 0.2500)
Eu (0.7500, 0.7500, 0.7500)
Tl (0.0000, 0.0000, 0.0000)
Cd (0.5000, 0.5000, 0.5000)

Main lines, in order of rising 2θ (2θ = 5–70°):
2θ = 19.36°, rel. 4.0; 2θ = 31.87°, rel. 100.0; 2θ = 37.56°, rel. 2.4; 2θ = 45.69°, rel. 18.4; 2θ = 56.78°, rel. 38.6; 2θ = 66.61°, rel. 11.9

No. 3
Diffraction record for LuB4Ru. The PXRD pattern is computed, not measured: it uses a crystal structure in the Materials Project, relaxed with PBE and Cu Ka.

Atomic structure:
Lattice parameters (Å, degrees): 5.9103 11.4178 3.5204 90.00 90.00 90.00
Positions (direct):
Lu (0.1297, 0.1495, 0.0000)
Lu (0.3703, 0.6495, 0.0000)
Lu (0.6297, 0.3505, 0.0000)
Lu (0.8703, 0.8505, 0.0000)
B (0.0228, 0.6928, 0.5000)
B (0.1130, 0.5474, 0.5000)
B (0.1348, 0.9699, 0.5000)
B (0.2087, 0.8136, 0.5000)
B (0.2913, 0.3136, 0.5000)
B (0.3652, 0.4699, 0.5000)
B (0.3870, 0.0474, 0.5000)
B (0.4772, 0.1928, 0.5000)
B (0.5228, 0.8072, 0.5000)
B (0.6130, 0.9526, 0.5000)
B (0.6348, 0.5301, 0.5000)
B (0.7087, 0.6864, 0.5000)
B (0.7913, 0.1864, 0.5000)
B (0.8652, 0.0301, 0.5000)
B (0.8870, 0.4526, 0.5000)
B (0.9772, 0.3072, 0.5000)
Ru (0.1418, 0.4065, 0.0000)
Ru (0.3582, 0.9065, 0.0000)
Ru (0.6418, 0.0935, 0.0000)
Ru (0.8582, 0.5935, 0.0000)

Main lines, in order of rising 2θ (2θ = 5–70°):
2θ = 25.30°, rel. 75.5; 2θ = 31.29°, rel. 84.2; 2θ = 40.66°, rel. 100.0; 2θ = 43.60°, rel. 23.0; 2θ = 46.69°, rel. 26.0; 2θ = 61.91°, rel. 24.5

No. 4
Diffraction record for Y2Mn5Co12. The PXRD pattern is computed, not measured: it uses a crystal structure in the Materials Project, relaxed with PBE and Cu Ka.

Atomic structure:
Lattice parameters (Å, degrees): 6.2440 6.2440 6.2440 82.96 82.96 82.96
Positions (direct):
Y (0.1516, 0.1516, 0.1516)
Y (0.8484, 0.8484, 0.8484)
Mn (0.0000, 0.5000, 0.5000)
Mn (0.4095, 0.4095, 0.4095)
Mn (0.5000, 0.0000, 0.5000)
Mn (0.5000, 0.5000, 0.0000)
Mn (0.5905, 0.5905, 0.5905)
Co (0.1568, 0.1568, 0.6419)
Co (0.1568, 0.6419, 0.1568)
Co (0.2083, 0.5000, 0.7917)
Co (0.2083, 0.7917, 0.5000)
Co (0.3581, 0.8432, 0.8432)
Co (0.5000, 0.2083, 0.7917)
Co (0.5000, 0.7917, 0.2083)
Co (0.6419, 0.1568, 0.1568)
Co (0.7917, 0.2083, 0.5000)
Co (0.7917, 0.5000, 0.2083)
Co (0.8432, 0.3581, 0.8432)
Co (0.8432, 0.8432, 0.3581)

Main lines, in order of rising 2θ (2θ = 5–70°):
2θ = 37.67°, rel. 33.5; 2θ = 39.04°, rel. 32.6; 2θ = 43.78°, rel. 57.8; 2θ = 44.10°, rel. 100.0; 2θ = 45.06°, rel. 41.3; 2θ = 49.57°, rel. 45.1

No. 5
Diffraction record for SrO10. The PXRD pattern is computed, not measured: it uses a crystal structure in the Materials Project, relaxed with PBE and Cu Ka.

Atomic structure:
Lattice parameters (Å, degrees): 5.2371 5.2371 5.4778 90.00 90.00 90.00
Positions (direct):
Sr (0.0000, 0.0000, 0.0000)
O (0.0000, 0.5000, 0.0000)
O (0.3547, 0.3547, 0.2479)
O (0.3547, 0.3547, 0.7521)
O (0.3547, 0.6453, 0.2479)
O (0.3547, 0.6453, 0.7521)
O (0.5000, 0.0000, 0.0000)
O (0.6453, 0.3547, 0.2479)
O (0.6453, 0.3547, 0.7521)
O (0.6453, 0.6453, 0.2479)
O (0.6453, 0.6453, 0.7521)

Main lines, in order of rising 2θ (2θ = 5–70°):
2θ = 16.18°, rel. 100.0; 2θ = 23.50°, rel. 77.4; 2θ = 24.03°, rel. 54.4; 2θ = 37.04°, rel. 88.5; 2θ = 38.09°, rel. 41.7; 2θ = 41.95°, rel. 34.2

No. 6
Diffraction record for Ce3Br. The PXRD pattern is computed, not measured: it uses a crystal structure in the Materials Project, relaxed with PBE and Cu Ka.

Atomic structure:
Lattice parameters (Å, degrees): 4.5750 4.5750 4.5750 90.00 90.00 90.00
Positions (direct):
Ce (0.0000, 0.0000, 0.5000)
Ce (0.0000, 0.5000, 0.0000)
Ce (0.5000, 0.0000, 0.0000)
Br (0.5000, 0.5000, 0.5000)

Main lines, in order of rising 2θ (2θ = 5–70°):
2θ = 19.40°, rel. 3.8; 2θ = 27.57°, rel. 3.3; 2θ = 33.94°, rel. 100.0; 2θ = 39.39°, rel. 49.7; 2θ = 56.93°, rel. 33.7; 2θ = 67.96°, rel. 39.4